No. 1
Diffraction record for BaSb4O7. The powder diffractogram is computed, not measured: it uses a structure optimized by DFT (GGA-PBE) and Cu Kα X-rays.

Peak list (10 most intense, 5 to 70 degrees two-theta, in order of falling intensity)
- d 5.877, I 100, (1 0 1)
- d 3.291, I 83, (1 1 2)
- d 3.174, I 75, (2 0 1)
- d 2.641, I 51, (2 0 3)
- d 6.532, I 34, (1 0 0)
- d 1.886, I 34, (2 2 0)
- d 3.368, I 32, (0 0 4)
- d 1.645, I 25, (2 2 4)
- d 2.072, I 23, (3 0 2)
- d 1.658, I 20, (2 0 7)

Crystal structure
a b c (Å): 7.5425 7.5425 13.4708
angles (deg): 90.00 90.00 120.00
Positions (direct):
Ba (0.3333, 0.6667, 0.0000)
Ba (0.6667, 0.3333, 0.5000)
Sb (0.0000, 0.0000, 0.0670)
Sb (0.0000, 0.0000, 0.5670)
Sb (0.1664, 0.3329, 0.7891)
Sb (0.1664, 0.8336, 0.7891)
Sb (0.3329, 0.1664, 0.2891)
Sb (0.6671, 0.8336, 0.7891)
Sb (0.8336, 0.1664, 0.2891)
Sb (0.8336, 0.6671, 0.2891)
O (0.0000, 0.0000, 0.3337)
O (0.0000, 0.0000, 0.8337)
O (0.0674, 0.5337, 0.8490)
O (0.1384, 0.2769, 0.6335)
O (0.1384, 0.8616, 0.6335)
O (0.2769, 0.1384, 0.1335)
O (0.4663, 0.5337, 0.8490)
O (0.4663, 0.9326, 0.8490)
O (0.5337, 0.0674, 0.3490)
O (0.5337, 0.4663, 0.3490)
O (0.7231, 0.8616, 0.6335)
O (0.8616, 0.1384, 0.1335)
O (0.8616, 0.7231, 0.1335)
O (0.9326, 0.4663, 0.3490)



No. 2
Diffraction record for Ba2Sb2O5. The powder diffractogram is computed, not measured: it uses a structure optimized by DFT (GGA-PBE) and Cu Kα X-rays.

Peak list (10 most intense, 5 to 70 degrees two-theta, in order of falling intensity)
- d 3.371, I 100, (1 1 2)
- d 3.200, I 92, (4 1 0)
- d 3.230, I 39, (0 2 0)
- d 2.255, I 37, (3 2 2)
- d 1.727, I 29, (4 1 4)
- d 1.923, I 23, (5 2 2)
- d 1.859, I 21, (4 3 0)
- d 3.149, I 20, (3 0 2)
- d 2.394, I 19, (5 0 2)
- d 2.051, I 17, (0 0 4)

Crystal structure
a b c (Å): 14.7368 6.4608 8.2043
angles (deg): 90.00 90.00 90.00
Positions (direct):
Ba (0.0690, 0.2500, 0.1249)
Ba (0.0731, 0.2500, 0.6254)
Ba (0.4269, 0.7500, 0.1254)
Ba (0.4310, 0.7500, 0.6249)
Ba (0.5690, 0.2500, 0.3751)
Ba (0.5731, 0.2500, 0.8746)
Ba (0.9269, 0.7500, 0.3746)
Ba (0.9310, 0.7500, 0.8751)
Sb (0.1807, 0.7500, 0.3649)
Sb (0.1818, 0.7500, 0.8852)
Sb (0.3182, 0.2500, 0.3852)
Sb (0.3193, 0.2500, 0.8649)
Sb (0.6807, 0.7500, 0.1351)
Sb (0.6818, 0.7500, 0.6148)
Sb (0.8182, 0.2500, 0.1148)
Sb (0.8193, 0.2500, 0.6351)
O (0.0917, 0.5254, 0.3701)
O (0.0917, 0.9746, 0.3701)
O (0.0926, 0.5259, 0.8797)
O (0.0926, 0.9741, 0.8797)
O (0.2199, 0.7500, 0.1252)
O (0.2801, 0.2500, 0.6252)
O (0.4074, 0.0259, 0.3797)
O (0.4074, 0.4741, 0.3797)
O (0.4083, 0.0254, 0.8701)
O (0.4083, 0.4746, 0.8701)
O (0.5917, 0.5254, 0.1299)
O (0.5917, 0.9746, 0.1299)
O (0.5926, 0.5259, 0.6203)
O (0.5926, 0.9741, 0.6203)
O (0.7199, 0.7500, 0.3748)
O (0.7801, 0.2500, 0.8748)
O (0.9074, 0.0259, 0.1203)
O (0.9074, 0.4741, 0.1203)
O (0.9083, 0.0254, 0.6299)
O (0.9083, 0.4746, 0.6299)